The following is a simulated X-ray diffraction stick pattern of Er4PSe3. It was derived from the GGA-PBE geometry in Alexandria, using Cu Kα, 1.54184 Å.
No peak broadening, texture or thermal motion is included.

The 12 most intense peaks (2θ = 5–70°), by angle:
- 27.00 deg, intensity 16.1, (2 2 0)
- 27.25 deg, intensity 16.7, (0 2 1)
- 31.43 deg, intensity 100.0, (2 0 1)
- 34.40 deg, intensity 3.5, (1 3 1)
- 44.73 deg, intensity 11.7, (4 0 0)
- 45.04 deg, intensity 47.7, (2 4 1)
- 45.36 deg, intensity 12.4, (0 0 2)
- 53.17 deg, intensity 4.5, (4 2 1)
- 53.59 deg, intensity 5.2, (2 2 2)
- 55.68 deg, intensity 11.8, (4 4 0)
- 56.22 deg, intensity 12.6, (0 4 2)
- 65.59 deg, intensity 11.1, (4 0 2)

Structural model:
Cell: 8.1049 11.3895 3.9985 Å, 90.00 90.00 90.00°
Space group Cmmm (No. 65)
Inequivalent atoms, fractional coordinates:
Er1 0.0000 0.2374 0.0000 x4
Er2 0.2296 0.0000 0.5000 x4
P1 0.0000 0.0000 0.0000 x2
Se1 0.0000 0.5000 0.0000 x2
Se2 0.2500 0.2500 0.5000 x4


The following is a simulated X-ray diffraction stick pattern of Be17TcPd. It was derived from the GGA-PBE geometry in Alexandria, using Cu Kα, 1.54184 Å.
No peak broadening, texture or thermal motion is included.

The 12 most intense peaks (2θ = 5–70°), by angle:
- 16.38 deg, intensity 78.4, (1 0 1)
- 21.90 deg, intensity 21.3, (0 1 2)
- 24.52 deg, intensity 100.0, (1 1 0)
- 25.15 deg, intensity 31.0, (0 0 3)
- 29.63 deg, intensity 22.6, (0 2 1)
- 35.41 deg, intensity 92.4, (1 1 3)
- 36.73 deg, intensity 22.8, (1 0 4)
- 38.83 deg, intensity 21.0, (2 1 1)
- 43.16 deg, intensity 35.6, (3 0 0)
- 50.27 deg, intensity 27.2, (2 2 0)
- 50.61 deg, intensity 50.0, (0 3 3)
- 51.61 deg, intensity 28.0, (0 0 6)

Structural model:
Cell: 7.2602 7.2602 10.6248 Å, 90.00 90.00 120.00°
Space group R3m (No. 160, hexagonal axes)
Inequivalent atoms, fractional coordinates:
Be1 0.0000 0.0000 0.0510 x3
Be2 0.0000 0.0000 0.2550 x3
Be3 0.9996 0.3020 0.1524 x18
Be4 0.0040 0.5020 0.3083 x9
Be5 0.0103 0.5051 0.6484 x9
Be6 0.1700 0.3399 0.3333 x9
Tc1 0.0000 0.0000 0.8153 x3
Pd1 0.0000 0.0000 0.5022 x3